Structure and calculated XRD peak list of Sc5Re8Si12 (a structure optimized by DFT (GGA-PBE); Cu Ka).
Neutral-atom scattering factors, no anomalous dispersion.

Structure:
```
data_Sc5Re8Si12
_chemical_formula_sum 'Sc20 Re32 Si48'
_space_group_name_H-M_alt 'A m m 2'
_space_group_IT_number 38
_cell_length_a 14.5191
_cell_length_b 19.7524
_cell_length_c 5.2505
_cell_angle_alpha 90.00
_cell_angle_beta 90.00
_cell_angle_gamma 90.00
loop_
_space_group_symop_operation_xyz
'x,y,z'
'-x,-y,z'
'-x,y,z'
'x,-y,z'
'x,y+1/2,z+1/2'
'-x,-y+1/2,z+1/2'
'-x,y+1/2,z+1/2'
'x,-y+1/2,z+1/2'
loop_
_atom_site_label
_atom_site_type_symbol
_atom_site_fract_x
_atom_site_fract_y
_atom_site_fract_z
Sc1 Sc 0.0000 0.0000 0.0000
Sc2 Sc 0.1733 0.1356 0.7118
Sc3 Sc 0.3245 0.1339 0.2091
Sc4 Sc 0.5000 0.0000 0.4781
Re1 Re 0.0000 0.1009 0.4643
Re2 Re 0.1250 0.2059 0.2037
Re3 Re 0.2210 0.0000 0.9290
Re4 Re 0.2691 0.0000 0.4378
Re5 Re 0.3924 0.2012 0.7070
Re6 Re 0.5000 0.0843 0.9644
Si1 Si 0.0000 0.1400 0.9667
Si2 Si 0.0000 0.2202 0.5402
Si3 Si 0.1031 0.0000 0.5741
Si4 Si 0.1467 0.0811 0.2183
Si5 Si 0.2580 0.2501 0.4580
Si6 Si 0.3512 0.0784 0.7140
Si7 Si 0.3790 0.0000 0.0888
Si8 Si 0.5000 0.1316 0.4475
Si9 Si 0.5000 0.2082 0.0700
```

Top 10 peaks for 2θ from 10° to 80°, low angle first:
2θ (°), d/Å, I_rel
21.8, 4.083, 45
22.5, 3.950, 50
26.2, 3.407, 94
28.9, 3.085, 71
35.4, 2.537, 63
36.7, 2.450, 55
38.0, 2.371, 50
40.8, 2.210, 96
42.3, 2.137, 48
42.5, 2.127, 100

***

Structure and calculated XRD peak list of Zr2ScRe (a structure optimized by DFT (GGA-PBE); Cu Ka).
Neutral-atom scattering factors, no anomalous dispersion.

Structure:
```
data_Zr2ScRe
_chemical_formula_sum 'Zr8 Sc4 Re4'
_space_group_name_H-M_alt 'F -4 3 m'
_space_group_IT_number 216
_space_group_name_Hall 'F -4 2 3'
_cell_length_a 6.7965
_cell_length_b 6.7965
_cell_length_c 6.7965
_cell_angle_alpha 90.00
_cell_angle_beta 90.00
_cell_angle_gamma 90.00
loop_
_atom_site_label
_atom_site_type_symbol
_atom_site_fract_x
_atom_site_fract_y
_atom_site_fract_z
Zr1 Zr 0.0000 0.0000 0.0000
Zr2 Zr 0.2500 0.2500 0.2500
Sc1 Sc 0.0000 0.0000 0.5000
Re1 Re 0.2500 0.2500 0.7500
```

Top 10 peaks for 2θ from 10° to 80°, low angle first:
2θ (°), d/Å, I_rel
22.7, 3.924, 14
26.2, 3.398, 14
37.4, 2.403, 100
44.2, 2.049, 8
46.3, 1.962, 4
54.0, 1.699, 17
59.3, 1.559, 3
61.0, 1.520, 6
67.5, 1.387, 34
79.8, 1.201, 11

***

Structure and calculated XRD peak list of ReSnSe4 (a structure optimized by DFT (GGA-PBE); Cu Ka).
Neutral-atom scattering factors, no anomalous dispersion.

Structure:
```
data_ReSnSe4
_chemical_formula_sum 'Re2 Sn2 Se8'
_space_group_name_H-M_alt 'P -1'
_space_group_IT_number 2
_cell_length_a 6.7912
_cell_length_b 7.0405
_cell_length_c 7.6816
_cell_angle_alpha 117.22
_cell_angle_beta 91.42
_cell_angle_gamma 107.50
loop_
_space_group_symop_operation_xyz
'x,y,z'
'-x,-y,-z'
loop_
_atom_site_label
_atom_site_type_symbol
_atom_site_fract_x
_atom_site_fract_y
_atom_site_fract_z
Re1 Re 0.9997 0.2013 0.0003
Sn1 Sn 0.0041 0.2653 0.5270
Se1 Se 0.2190 0.5165 0.9047
Se2 Se 0.2419 0.9981 0.3274
Se3 Se 0.2438 0.4700 0.3265
Se4 Se 0.2492 0.0022 0.8601
```

Top 10 peaks for 2θ from 10° to 80°, low angle first:
2θ (°), d/Å, I_rel
13.2, 6.704, 12
13.9, 6.357, 100
29.1, 3.070, 19
32.5, 2.756, 42
33.5, 2.672, 37
34.8, 2.577, 34
46.1, 1.970, 15
47.2, 1.926, 13
47.6, 1.911, 21
49.1, 1.855, 13

***

Structure and calculated XRD peak list of ReTe2Se3 (a structure optimized by DFT (GGA-PBE); Cu Ka).
Neutral-atom scattering factors, no anomalous dispersion.

Structure:
```
data_ReTe2Se3
_chemical_formula_sum 'Re2 Te4 Se6'
_space_group_name_H-M_alt 'P -1'
_space_group_IT_number 2
_cell_length_a 6.8226
_cell_length_b 7.2343
_cell_length_c 8.0118
_cell_angle_alpha 63.17
_cell_angle_beta 89.88
_cell_angle_gamma 71.91
loop_
_space_group_symop_operation_xyz
'x,y,z'
'-x,-y,-z'
loop_
_atom_site_label
_atom_site_type_symbol
_atom_site_fract_x
_atom_site_fract_y
_atom_site_fract_z
Re1 Re 0.9995 0.1965 0.0004
Te1 Te 0.0026 0.2585 0.4833
Te2 Te 0.2353 0.4779 0.9047
Se1 Se 0.2294 0.0044 0.3186
Se2 Se 0.2318 0.5429 0.3161
Se3 Se 0.2498 0.9939 0.8668
```

Top 10 peaks for 2θ from 10° to 80°, low angle first:
2θ (°), d/Å, I_rel
12.5, 7.054, 24
13.8, 6.399, 100
25.3, 3.527, 12
28.3, 3.151, 18
30.9, 2.896, 49
32.9, 2.720, 41
34.3, 2.613, 37
45.6, 1.989, 24
46.0, 1.974, 32
48.0, 1.895, 18

***

Which formula does entry 4 have?
ReTe2Se3